(1)
Starting from a PBE-relaxed structure, the X-ray powder pattern of Er2PaTiN4 was computed for a wavelength of 1.5418 Å.

Most intense lines, 10 to 90 degrees two-theta, low angle first:
d (Å)	two_theta	Rel. int.	hkl
2.750	32.57	51	0 0 2
2.738	32.70	100	1 1 -1
2.727	32.85	49	2 0 0
2.382	37.77	97	1 1 1
2.350	38.29	47	2 0 -2
1.684	54.48	33	0 2 0
1.678	54.69	32	1 1 -3
1.668	55.06	32	3 1 -1
1.437	64.88	30	1 1 3
1.432	65.13	29	3 1 1

Crystal structure
```
data_Er2PaTiN4
_chemical_formula_sum 'Er2 Pa1 Ti1 N4'
_cell_length_a 5.7593
_cell_length_b 3.3688
_cell_length_c 5.8075
_cell_angle_alpha 90.00
_cell_angle_beta 108.75
_cell_angle_gamma 90.00
_space_group_name_H-M_alt 'P 1 2/m 1'
_space_group_IT_number 10
loop_
_space_group_symop_operation_xyz
'x,y,z'
'-x,-y,-z'
'-x,y,-z'
'x,-y,z'
loop_
_atom_site_label
_atom_site_type_symbol
_atom_site_fract_x
_atom_site_fract_y
_atom_site_fract_z
Er1 Er 0.0000 0.0000 0.0000
Er2 Er 0.5000 0.5000 0.0000
Pa1 Pa 0.0000 0.5000 0.5000
Ti1 Ti 0.5000 0.0000 0.5000
N1 N 0.2587 0.0000 0.7386
N2 N 0.2616 0.5000 0.2710
```

=====

(2)
Starting from a PBE-relaxed structure, the X-ray powder pattern of Er3PbN2 was computed for a wavelength of 1.5418 Å.

Most intense lines, 10 to 90 degrees two-theta, low angle first:
d (Å)	two_theta	Rel. int.	hkl
2.856	31.32	29	0 0 4
2.811	31.84	100	1 1 2
2.283	39.46	32	2 0 0
1.783	51.23	29	2 0 4
1.640	56.08	22	1 1 6
1.615	57.04	11	2 2 0
1.405	66.53	13	2 2 4
1.400	66.82	25	3 1 2
1.211	79.11	8	2 0 8
1.151	84.14	14	3 1 6

Crystal structure
```
data_Er3PbN2
_chemical_formula_sum 'Er6 Pb2 N4'
_cell_length_a 4.5667
_cell_length_b 4.5667
_cell_length_c 11.4226
_cell_angle_alpha 90.00
_cell_angle_beta 90.00
_cell_angle_gamma 90.00
_space_group_name_H-M_alt 'I 4/m m m'
_space_group_IT_number 139
_space_group_name_Hall '-I 4 2'
loop_
_atom_site_label
_atom_site_type_symbol
_atom_site_fract_x
_atom_site_fract_y
_atom_site_fract_z
Er1 Er 0.0000 0.0000 0.0000
Er2 Er 0.0000 0.5000 0.2500
Pb1 Pb 0.0000 0.0000 0.5000
N1 N 0.0000 0.0000 0.2010
```

=====

(3)
Starting from a PBE-relaxed structure, the X-ray powder pattern of Pm2Er3N4 was computed for a wavelength of 1.5418 Å.

Most intense lines, 10 to 90 degrees two-theta, low angle first:
d (Å)	two_theta	Rel. int.	hkl
2.890	30.94	33	2 0 -3
2.865	31.22	100	1 1 1
2.518	35.65	30	2 0 2
2.471	36.35	59	3 1 -2
1.769	51.66	19	1 1 -4
1.758	52.00	20	5 1 0
1.754	52.16	10	6 0 -4
1.742	52.55	10	0 2 0
1.492	62.22	19	2 2 -3
1.433	65.11	15	2 2 2

Crystal structure
```
data_Pm2Er3N4
_chemical_formula_sum 'Pm4 Er6 N8'
_cell_length_a 11.6256
_cell_length_b 3.4832
_cell_length_c 8.6713
_cell_angle_alpha 90.00
_cell_angle_beta 118.82
_cell_angle_gamma 90.00
_space_group_name_H-M_alt 'C 1 2/m 1'
_space_group_IT_number 12
loop_
_space_group_symop_operation_xyz
'x,y,z'
'-x,-y,-z'
'-x,y,-z'
'x,-y,z'
'x+1/2,y+1/2,z'
'-x+1/2,-y+1/2,-z'
'-x+1/2,y+1/2,-z'
'x+1/2,-y+1/2,z'
loop_
_atom_site_label
_atom_site_type_symbol
_atom_site_fract_x
_atom_site_fract_y
_atom_site_fract_z
Pm1 Pm 0.1032 0.0000 0.3872
Er1 Er 0.0000 0.5000 0.0000
Er2 Er 0.2091 0.5000 0.8172
N1 N 0.1055 0.0000 0.9084
N2 N 0.1981 0.5000 0.2905
```

=====

(4)
Starting from a PBE-relaxed structure, the X-ray powder pattern of Pm5ErN6 was computed for a wavelength of 1.5418 Å.

Most intense lines, 10 to 90 degrees two-theta, low angle first:
d (Å)	two_theta	Rel. int.	hkl
2.927	30.54	100	2 0 0
2.535	35.41	73	1 3 1
1.792	50.95	51	2 0 2
1.528	60.58	45	3 3 1
1.463	63.58	17	4 0 0
1.267	74.94	8	2 6 2
1.163	83.04	16	4 0 2
1.163	83.06	3	1 3 -5
1.134	85.71	23	4 6 0

Crystal structure
```
data_Pm5ErN6
_chemical_formula_sum 'Pm10 Er2 N12'
_cell_length_a 6.2091
_cell_length_b 10.7545
_cell_length_c 6.2072
_cell_angle_alpha 90.00
_cell_angle_beta 109.47
_cell_angle_gamma 90.00
_space_group_name_H-M_alt 'C 1 2/m 1'
_space_group_IT_number 12
loop_
_space_group_symop_operation_xyz
'x,y,z'
'-x,-y,-z'
'-x,y,-z'
'x,-y,z'
'x+1/2,y+1/2,z'
'-x+1/2,-y+1/2,-z'
'-x+1/2,y+1/2,-z'
'x+1/2,-y+1/2,z'
loop_
_atom_site_label
_atom_site_type_symbol
_atom_site_fract_x
_atom_site_fract_y
_atom_site_fract_z
Pm1 Pm 0.0000 0.0000 0.0000
Pm2 Pm 0.0000 0.1668 0.5000
Pm3 Pm 0.0000 0.3344 0.0000
Er1 Er 0.0000 0.5000 0.5000
N1 N 0.2441 0.5000 0.2533
N2 N 0.2450 0.3369 0.7459
```

=====

(5)
Starting from a PBE-relaxed structure, the X-ray powder pattern of PmErW2N6 was computed for a wavelength of 1.5418 Å.

Most intense lines, 10 to 90 degrees two-theta, low angle first:
d (Å)	two_theta	Rel. int.	hkl
3.363	26.50	100	2 2 -1
3.232	27.60	31	3 1 0
2.926	30.55	54	0 0 2
2.827	31.65	24	1 3 -1
2.752	32.53	55	2 2 1
2.608	34.39	25	1 3 1
2.354	38.23	18	4 0 -2
1.896	47.99	27	2 2 -3
1.802	50.65	21	5 3 -1
1.678	54.71	19	4 0 2

Crystal structure
```
data_PmErW2N6
_chemical_formula_sum 'Pm4 Er4 W8 N24'
_cell_length_a 10.9019
_cell_length_b 9.6116
_cell_length_c 6.1961
_cell_angle_alpha 90.00
_cell_angle_beta 109.18
_cell_angle_gamma 90.00
_space_group_name_H-M_alt 'C 1 2/c 1'
_space_group_IT_number 15
loop_
_space_group_symop_operation_xyz
'x,y,z'
'-x,-y,-z'
'-x,y,-z+1/2'
'x,-y,z+1/2'
'x+1/2,y+1/2,z'
'-x+1/2,-y+1/2,-z'
'-x+1/2,y+1/2,-z+1/2'
'x+1/2,-y+1/2,z+1/2'
loop_
_atom_site_label
_atom_site_type_symbol
_atom_site_fract_x
_atom_site_fract_y
_atom_site_fract_z
Pm1 Pm 0.0000 0.1963 0.2500
Er1 Er 0.0000 0.4130 0.7500
W1 W 0.2103 0.0919 0.7519
N1 N 0.1089 0.3931 0.1449
N2 N 0.1359 0.2588 0.6604
N3 N 0.1420 0.0123 0.9767
```

=====

(6)
Starting from a PBE-relaxed structure, the X-ray powder pattern of Pr3ErN4 was computed for a wavelength of 1.5418 Å.

Most intense lines, 10 to 90 degrees two-theta, low angle first:
d (Å)	two_theta	Rel. int.	hkl
2.964	30.16	100	2 0 0
2.566	34.96	74	1 2 1
1.815	50.28	51	2 0 2
1.548	59.75	46	4 0 -2
1.482	62.70	17	4 0 0
1.283	73.85	8	4 0 -4
1.178	81.77	14	4 0 2
1.177	81.83	5	2 0 4
1.148	84.38	19	3 2 3
1.147	84.44	4	3 2 -5

Crystal structure
```
data_Pr3ErN4
_chemical_formula_sum 'Pr6 Er2 N8'
_cell_length_a 6.2852
_cell_length_b 7.2647
_cell_length_c 6.2828
_cell_angle_alpha 90.00
_cell_angle_beta 109.47
_cell_angle_gamma 90.00
_space_group_name_H-M_alt 'P 1 2/c 1'
_space_group_IT_number 13
loop_
_space_group_symop_operation_xyz
'x,y,z'
'-x,-y,-z'
'-x,y,-z+1/2'
'x,-y,z+1/2'
loop_
_atom_site_label
_atom_site_type_symbol
_atom_site_fract_x
_atom_site_fract_y
_atom_site_fract_z
Pr1 Pr 0.0000 0.1236 0.2500
Pr2 Pr 0.0000 0.3703 0.7500
Pr3 Pr 0.5000 0.3709 0.2500
Er1 Er 0.5000 0.1247 0.7500
N1 N 0.2549 0.3632 0.5084
N2 N 0.2614 0.1226 0.9971
```

=====

(7)
Starting from a PBE-relaxed structure, the X-ray powder pattern of Pr3ErSi2N6 was computed for a wavelength of 1.5418 Å.

Most intense lines, 10 to 90 degrees two-theta, low angle first:
d (Å)	two_theta	Rel. int.	hkl
6.464	13.70	22	0 0 1
5.073	17.48	21	1 0 0
3.991	22.28	18	1 0 1
2.929	30.52	100	1 1 0
2.726	32.86	83	0 1 2
1.995	45.46	42	2 0 2
1.691	54.24	20	3 0 0
1.649	55.74	36	1 2 2
1.540	60.09	16	1 0 4
1.290	73.39	17	3 1 2

Crystal structure
```
data_Pr3ErSi2N6
_chemical_formula_sum 'Pr3 Er1 Si2 N6'
_cell_length_a 5.8579
_cell_length_b 5.8579
_cell_length_c 6.4638
_cell_angle_alpha 90.00
_cell_angle_beta 90.00
_cell_angle_gamma 120.00
_space_group_name_H-M_alt 'P -3 m 1'
_space_group_IT_number 164
_space_group_name_Hall '-P 3 2"'
loop_
_atom_site_label
_atom_site_type_symbol
_atom_site_fract_x
_atom_site_fract_y
_atom_site_fract_z
Pr1 Pr 0.0000 0.0000 0.0000
Pr2 Pr 0.3333 0.6667 0.6456
Er1 Er 0.0000 0.0000 0.5000
Si1 Si 0.3333 0.6667 0.1906
N1 N 0.1757 0.3514 0.2847
```

=====

(8)
Starting from a PBE-relaxed structure, the X-ray powder pattern of ErReN4 was computed for a wavelength of 1.5418 Å.

Most intense lines, 10 to 90 degrees two-theta, low angle first:
d (Å)	two_theta	Rel. int.	hkl
3.723	23.90	94	0 0 2
3.596	24.76	86	2 0 0
2.936	30.45	83	0 2 1
2.586	34.69	54	2 0 2
2.274	39.64	100	2 2 1
1.960	46.33	29	0 2 3
1.721	53.23	45	2 2 3
1.653	55.60	17	2 0 4
1.533	60.38	26	4 2 1
1.325	71.17	17	4 2 3

Crystal structure
```
data_ErReN4
_chemical_formula_sum 'Er4 Re4 N16'
_cell_length_a 7.1911
_cell_length_b 6.3885
_cell_length_c 7.4455
_cell_angle_alpha 90.00
_cell_angle_beta 90.00
_cell_angle_gamma 90.00
_space_group_name_H-M_alt 'C m c m'
_space_group_IT_number 63
_space_group_name_Hall '-C 2c 2'
loop_
_atom_site_label
_atom_site_type_symbol
_atom_site_fract_x
_atom_site_fract_y
_atom_site_fract_z
Er1 Er 0.0000 0.1062 0.2500
Re1 Re 0.0000 0.3892 0.7500
N1 N 0.0000 0.2148 0.5532
N2 N 0.1996 0.4380 0.2500
```

=====

(9)
Starting from a PBE-relaxed structure, the X-ray powder pattern of Er2ThRhN4 was computed for a wavelength of 1.5418 Å.

Most intense lines, 10 to 90 degrees two-theta, low angle first:
d (Å)	two_theta	Rel. int.	hkl
3.209	27.80	59	0 2 3
2.933	30.48	60	0 4 0
2.875	31.11	31	0 0 4
2.837	31.53	100	1 1 2
2.503	35.88	27	1 3 1
2.342	38.44	73	1 3 2
2.053	44.11	21	0 4 4
1.880	48.43	20	1 1 5
1.830	49.83	28	1 5 2
1.712	53.53	19	1 3 5

Crystal structure
```
data_Er2ThRhN4
_chemical_formula_sum 'Er8 Th4 Rh4 N16'
_cell_length_a 3.3958
_cell_length_b 11.7318
_cell_length_c 11.4990
_cell_angle_alpha 90.00
_cell_angle_beta 90.00
_cell_angle_gamma 90.00
_space_group_name_H-M_alt 'C m c m'
_space_group_IT_number 63
_space_group_name_Hall '-C 2c 2'
loop_
_atom_site_label
_atom_site_type_symbol
_atom_site_fract_x
_atom_site_fract_y
_atom_site_fract_z
Er1 Er 0.0000 0.1283 0.0494
Th1 Th 0.0000 0.3866 0.2500
Rh1 Rh 0.0000 0.3525 0.7500
N1 N 0.0000 0.0415 0.2500
N2 N 0.0000 0.2220 0.6268
N3 N 0.0000 0.5000 0.0000
```

=====

(10)
Starting from a PBE-relaxed structure, the X-ray powder pattern of Er5SN4 was computed for a wavelength of 1.5418 Å.

Most intense lines, 10 to 90 degrees two-theta, low angle first:
d (Å)	two_theta	Rel. int.	hkl
2.881	31.04	100	1 0 5
2.507	35.82	58	1 1 0
2.472	36.35	23	0 0 10
1.773	51.55	19	2 0 0
1.760	51.95	33	1 1 10
1.510	61.40	31	2 1 5
1.494	62.11	11	1 0 15
1.441	64.70	17	2 0 10
1.143	84.86	10	2 1 15
1.121	86.87	9	3 1 0

Crystal structure
```
data_Er5SN4
_chemical_formula_sum 'Er10 S2 N8'
_cell_length_a 3.5459
_cell_length_b 3.5459
_cell_length_c 24.7178
_cell_angle_alpha 90.00
_cell_angle_beta 90.00
_cell_angle_gamma 90.00
_space_group_name_H-M_alt 'I 4/m m m'
_space_group_IT_number 139
_space_group_name_Hall '-I 4 2'
loop_
_atom_site_label
_atom_site_type_symbol
_atom_site_fract_x
_atom_site_fract_y
_atom_site_fract_z
Er1 Er 0.0000 0.0000 0.0000
Er2 Er 0.0000 0.0000 0.2019
Er3 Er 0.0000 0.0000 0.3913
S1 S 0.0000 0.0000 0.5000
N1 N 0.0000 0.0000 0.1039
N2 N 0.0000 0.0000 0.2981
```